Structure and calculated powder X-ray diffraction pattern of PaTiMn2S8 (a cell relaxed with PBE; Cu Kα, 1.54184 Å).

```
PaTiMn2S8
1.0
-4.230 4.230 3.678
4.230 -4.230 3.678
4.230 4.230 -3.678
Pa Ti Mn S
1 1 2 8
Direct
0.000 0.000 0.000 Pa
0.750 0.250 0.500 Ti
0.250 0.750 0.500 Mn
0.500 0.500 0.000 Mn
0.031 0.352 0.321 S
0.031 0.710 0.679 S
0.111 0.306 0.806 S
0.290 0.969 0.321 S
0.500 0.306 0.194 S
0.648 0.969 0.679 S
0.694 0.500 0.806 S
0.694 0.889 0.194 S
```

Principal peaks in the range 2θ = 15–90°, by intensity:
- 21.00 deg, I = 1000
- 41.75 deg, I = 707
- 15.97 deg, I = 591
- 28.49 deg, I = 444
- 34.05 deg, I = 312
- 52.18 deg, I = 311
- 42.76 deg, I = 218
- 40.35 deg, I = 210
- 26.49 deg, I = 207
- 38.22 deg, I = 187
- 32.25 deg, I = 180
- 54.40 deg, I = 134